No. 1
Diffraction record for NaSrCoW. The powder XRD pattern is computed, not measured: it uses the PBE geometry in OQMD and copper Kα.
No peak broadening, texture or thermal motion is included.

The 10 most intense peaks (10° ≤ 2θ ≤ 90°), low angle first:
22.58°, intensity 19; 26.13°, intensity 33; 37.29°, intensity 100; 44.03°, intensity 10; 46.10°, intensity 10; 53.76°, intensity 17; 60.72°, intensity 14; 67.24°, intensity 34; 79.49°, intensity 11; 85.40°, intensity 7

Atomic structure:
```
16
Lattice="6.8210 0.0000 0.0000 0.0000 6.8210 0.0000 0.0000 0.0000 6.8210" Properties=species:S:1:pos:R:3 pbc="T T T"
Na 0.0000 0.0000 0.0000
Na 0.0000 3.4105 3.4105
Na 3.4105 0.0000 3.4105
Na 3.4105 3.4105 0.0000
Sr 1.7052 1.7052 1.7052
Sr 1.7052 5.1157 5.1157
Sr 5.1157 1.7052 5.1157
Sr 5.1157 5.1157 1.7052
Co 0.0000 0.0000 3.4105
Co 0.0000 3.4105 0.0000
Co 3.4105 0.0000 0.0000
Co 3.4105 3.4105 3.4105
W 1.7052 1.7052 5.1157
W 1.7052 5.1157 1.7052
W 5.1157 1.7052 1.7052
W 5.1157 5.1157 5.1157
```



No. 2
Diffraction record for Gd2Mg4AgPt. The powder XRD pattern is computed, not measured: it uses the PBE geometry in OQMD and copper Kα.
No peak broadening, texture or thermal motion is included.

The 10 most intense peaks (10° ≤ 2θ ≤ 90°), low angle first:
15.00°, intensity 100; 18.19°, intensity 17; 20.54°, intensity 18; 25.53°, intensity 27; 27.30°, intensity 13; 30.26°, intensity 13; 33.50°, intensity 20; 36.87°, intensity 35; 42.59°, intensity 14; 43.13°, intensity 12

Atomic structure:
```
16
Lattice="5.9070 0.0000 0.0000 0.0000 5.3501 0.0000 0.0000 0.0000 17.2979" Properties=species:S:1:pos:R:3 pbc="T T T"
Gd 0.0000 0.0000 0.0000
Gd 0.0000 0.0000 4.0166
Gd 0.0000 2.6750 8.6489
Gd 0.0000 2.6750 12.6656
Mg 1.4861 0.0000 7.1815
Mg 1.4877 0.0000 14.2945
Mg 1.4877 2.6750 5.6455
Mg 1.4861 2.6750 15.8304
Mg 4.4209 0.0000 7.1815
Mg 4.4193 0.0000 14.2945
Mg 4.4193 2.6750 5.6455
Mg 4.4209 2.6750 15.8304
Ag 0.0000 0.0000 9.5618
Ag 0.0000 2.6750 0.9128
Pt 0.0000 0.0000 12.1732
Pt 0.0000 2.6750 3.5242
```



No. 3
Diffraction record for NaSnHg3Se4. The powder XRD pattern is computed, not measured: it uses the PBE geometry in OQMD and copper Kα.
No peak broadening, texture or thermal motion is included.

The 10 most intense peaks (10° ≤ 2θ ≤ 90°), low angle first:
14.31°, intensity 92; 23.78°, intensity 74; 25.19°, intensity 60; 26.57°, intensity 34; 28.08°, intensity 46; 29.34°, intensity 44; 32.80°, intensity 49; 34.86°, intensity 100; 41.97°, intensity 45; 44.54°, intensity 42

Atomic structure:
```
18
Lattice="7.4036 0.0000 0.0000 0.0000 8.1376 0.0000 -2.7274 0.0000 9.5341" Properties=species:S:1:pos:R:3 pbc="T T T"
Na 0.6263 2.0344 3.4378
Na 4.0499 6.1032 6.0962
Sn 0.0492 2.0344 7.6908
Sn 4.6270 6.1032 1.8433
Hg 1.7360 0.1857 0.2104
Hg 1.7360 3.8831 0.2104
Hg 1.0709 6.1032 3.2404
Hg 3.6053 2.0344 6.2937
Hg 2.9402 4.2545 9.3236
Hg 2.9402 7.9519 9.3236
Se -1.3770 2.0344 5.5378
Se -2.2015 6.1032 8.7665
Se 2.8363 4.1590 2.7125
Se 2.8363 8.0474 2.7125
Se 1.8399 0.0902 6.8216
Se 1.8399 3.9786 6.8216
Se 6.8777 2.0344 0.7675
Se 6.0532 6.1032 3.9963
```



No. 4
Diffraction record for CuH6C2SeCl. The powder XRD pattern is computed, not measured: it uses the PBE geometry in OQMD and copper Kα.
No peak broadening, texture or thermal motion is included.

The 10 most intense peaks (10° ≤ 2θ ≤ 90°), low angle first:
12.33°, intensity 100; 15.22°, intensity 34; 15.82°, intensity 12; 17.95°, intensity 14; 20.30°, intensity 19; 22.87°, intensity 29; 25.11°, intensity 17; 30.69°, intensity 30; 31.33°, intensity 14; 41.76°, intensity 16

Atomic structure:
```
44
Lattice="7.2425 0.0000 0.0000 0.0000 6.8115 0.0000 -1.5161 0.0000 11.2042" Properties=species:S:1:pos:R:3 pbc="T T T"
Cu -0.1854 0.3199 1.3883
Cu -0.9434 3.0859 6.9904
Cu 6.6698 3.7256 4.2138
Cu 5.9118 6.4916 9.8159
H 0.2643 0.5624 5.0211
H -0.4937 2.8433 10.6232
H 0.8698 3.4936 9.6411
H 1.6278 6.7236 4.0390
H 2.1411 3.4741 1.7697
H 1.3831 6.7431 7.3718
H 1.8549 1.4115 5.0407
H 1.0968 1.9942 10.6428
H 2.0943 1.5927 7.5089
H 2.8523 1.8130 1.9068
H 2.0798 0.4907 8.9475
H 2.8379 2.9150 3.3454
H 2.8885 3.8965 7.8588
H 3.6465 6.3207 2.2567
H 2.8741 4.9984 9.2974
H 3.6321 5.2188 3.6953
H 4.6296 4.8173 0.5614
H 3.8715 5.4000 6.1635
H 4.3433 0.0684 3.8324
H 3.5853 3.3374 9.4345
H 4.0986 0.0878 7.1652
H 4.8566 3.3179 1.5631
H 6.2201 3.9682 0.5810
H 5.4621 6.2490 6.1831
C 1.1589 0.8161 4.4418
C 0.4009 2.5896 10.0439
C 1.5577 0.7912 8.0310
C 2.3157 2.6145 2.4289
C 3.4107 4.1970 8.7753
C 4.1687 6.0202 3.1732
C 5.3255 4.2218 1.1603
C 4.5674 5.9954 6.7624
Se -0.2152 1.4531 8.5643
Se 0.5428 1.9526 2.9622
Se 5.1836 4.8589 8.2420
Se 5.9416 5.3583 2.6399
Cl 0.8323 4.3071 5.9797
Cl 1.5903 5.9101 0.3776
Cl 4.1361 0.9014 10.8265
Cl 4.8941 2.5044 5.2244
```



No. 5
Diffraction record for LaPr2Pd2PtPb3. The powder XRD pattern is computed, not measured: it uses the PBE geometry in OQMD and copper Kα.
No peak broadening, texture or thermal motion is included.

The 10 most intense peaks (10° ≤ 2θ ≤ 90°), low angle first:
12.97°, intensity 21; 31.26°, intensity 100; 33.97°, intensity 86; 34.78°, intensity 50; 39.62°, intensity 40; 41.17°, intensity 44; 43.48°, intensity 27; 56.84°, intensity 25; 60.27°, intensity 23; 63.49°, intensity 39

Atomic structure:
```
9
Lattice="4.1625 0.0000 0.0000 0.0000 6.8241 3.9397 0.0000 -6.8241 3.9397" Properties=species:S:1:pos:R:3 pbc="T T T"
La 0.0000 0.0000 0.0000
Pr 0.0000 -2.7544 4.7848
Pr 0.0000 2.7544 4.7848
Pd 2.0813 -4.5575 3.2011
Pd 2.0813 4.5575 3.2011
Pt 0.0000 0.0000 3.1886
Pb 2.0813 -1.7772 2.1863
Pb 2.0813 1.7772 2.1863
Pb 2.0813 0.0000 5.2191
```



No. 6
Diffraction record for Dy2Y5Ni2Se2. The powder XRD pattern is computed, not measured: it uses the PBE geometry in OQMD and copper Kα.
No peak broadening, texture or thermal motion is included.

The 10 most intense peaks (10° ≤ 2θ ≤ 90°), low angle first:
29.24°, intensity 56; 30.75°, intensity 49; 30.94°, intensity 41; 33.72°, intensity 77; 34.63°, intensity 100; 35.09°, intensity 74; 37.17°, intensity 34; 39.08°, intensity 38; 47.54°, intensity 35; 59.55°, intensity 30

Atomic structure:
```
11
Lattice="-1.9126 7.5973 4.6844 1.9126 -7.5973 4.6844 1.9126 7.5973 -4.6844" Properties=species:S:1:pos:R:3 pbc="T T T"
Dy 0.0000 2.8113 0.0000
Dy 0.0000 12.3833 0.0000
Y 1.9126 -1.8728 2.7705
Y 1.9126 1.8728 2.7705
Y 1.9126 5.4899 1.3369
Y 0.0000 2.1074 6.0213
Y 0.0000 7.5973 3.6237
Ni 1.9126 3.6279 -1.7994
Ni 0.0000 3.9695 2.8850
Se 0.0000 0.0000 1.3203
Se 0.0000 7.5973 0.4245
```



No. 7
Diffraction record for CsCu3SnSe4. The powder XRD pattern is computed, not measured: it uses the PBE geometry in OQMD and copper Kα.
No peak broadening, texture or thermal motion is included.

The 10 most intense peaks (10° ≤ 2θ ≤ 90°), low angle first:
14.21°, intensity 65; 26.06°, intensity 79; 27.12°, intensity 95; 27.31°, intensity 100; 27.51°, intensity 77; 32.92°, intensity 66; 41.33°, intensity 85; 42.47°, intensity 60; 45.90°, intensity 68; 47.44°, intensity 66

Atomic structure:
```
18
Lattice="5.9789 0.0000 0.0000 0.0000 7.9060 0.0000 -2.5618 0.0000 10.1251" Properties=species:S:1:pos:R:3 pbc="T T T"
Cs 0.1903 1.9765 3.8264
Cs 3.2268 5.9295 6.2987
Cu 1.8112 4.5359 0.1794
Cu 1.8112 7.3231 0.1794
Cu 1.8560 5.9295 2.3718
Cu 1.5611 1.9765 7.7533
Cu 1.6059 0.5829 9.9457
Cu 1.6059 3.3701 9.9457
Sn -1.2547 1.9765 7.9690
Sn 4.6718 5.9295 2.1561
Se 0.1205 1.9765 0.1513
Se 0.2320 5.9295 4.1541
Se 0.2683 4.1211 8.0360
Se 0.2683 7.7379 8.0360
Se 3.1488 0.1681 2.0890
Se 3.1488 3.7849 2.0890
Se 3.1851 1.9765 5.9710
Se 3.2966 5.9295 9.9737
```



No. 8
Diffraction record for ZrTlO3. The powder XRD pattern is computed, not measured: it uses the PBE geometry in OQMD and copper Kα.
No peak broadening, texture or thermal motion is included.

The 10 most intense peaks (10° ≤ 2θ ≤ 90°), low angle first:
18.79°, intensity 21; 28.64°, intensity 100; 31.37°, intensity 84; 33.25°, intensity 12; 42.98°, intensity 37; 46.51°, intensity 19; 48.94°, intensity 14; 54.17°, intensity 36; 55.83°, intensity 23; 72.95°, intensity 14

Atomic structure:
```
10
Lattice="2.8520 1.6466 5.3576 -2.8520 1.6466 5.3576 0.0000 -3.2932 5.3576" Properties=species:S:1:pos:R:3 pbc="T T T"
Zr 0.0000 0.0000 2.4640
Zr 0.0000 0.0000 13.6088
Tl 0.0000 0.0000 5.9035
Tl 0.0000 0.0000 10.1693
O -2.2017 -0.0745 6.8624
O -1.0363 -1.9440 9.2104
O 1.1654 -1.8694 6.8624
O -1.1654 1.8694 9.2104
O 1.0363 1.9440 6.8624
O 2.2017 0.0745 9.2104
```